Diffraction record for CsTmV2O8. The PXRD pattern is simulated, not measured: it uses a GGA+U-relaxed structure and a wavelength of 1.5418 Å.

Structural model:
```
CsTmV2O8
1.0
5.869 0.000 0.000
-2.934 5.083 0.000
0.000 0.000 8.414
Cs Tm V O
1 1 2 8
Cartesian
0.000 0.000 0.000
0.000 0.000 4.207
0.000 3.388 6.121
2.934 1.694 2.293
-1.440 4.190 5.554
0.026 1.741 5.554
0.000 3.388 7.830
1.520 0.848 2.860
1.414 4.235 5.554
2.934 1.694 0.584
2.909 3.342 2.860
4.375 0.893 2.860
```

Peak list (10 most intense, 10 to 80 degrees two-theta, low angle first)
2θ = 17.4°, I = 79; 2θ = 20.4°, I = 39; 2θ = 27.5°, I = 100; 2θ = 30.5°, I = 56; 2θ = 37.4°, I = 23; 2θ = 41.5°, I = 40; 2θ = 46.7°, I = 15; 2θ = 52.4°, I = 33; 2θ = 53.6°, I = 22; 2θ = 70.4°, I = 14